Record 1
The following is a simulated X-ray diffraction stick pattern of Co2ReNi. It was derived from a cell relaxed with PBE, using λ = 1.5418 Å (Cu Kα).
Lines closer than 0.1° are merged.

Structure:
```
data_Co2ReNi
_chemical_formula_sum 'Co4 Re2 Ni2'
_symmetry_space_group_name_H-M 'P 1'
_symmetry_Int_Tables_number 1
_cell_length_a 3.553
_cell_length_b 3.553
_cell_length_c 7.333
_cell_angle_alpha 90.00
_cell_angle_beta 90.00
_cell_angle_gamma 90.00
loop_
_symmetry_equiv_pos_as_xyz
'x,y,z'
loop_
_atom_site_label
_atom_site_type_symbol
_atom_site_fract_x
_atom_site_fract_y
_atom_site_fract_z
Co1 Co 0.000 0.000 0.000
Co2 Co 0.000 0.500 0.250
Co3 Co 0.500 0.000 0.750
Co4 Co 0.500 0.500 0.500
Re1 Re 0.000 0.500 0.750
Re2 Re 0.500 0.000 0.250
Ni1 Ni 0.000 0.000 0.500
Ni2 Ni 0.500 0.500 0.000
```

Most intense lines, 5° ≤ 2θ ≤ 70°, by angle:
24.3°, intensity 12; 27.9°, intensity 35; 35.7°, intensity 9; 43.7°, intensity 100; 45.0°, intensity 10; 49.7°, intensity 17; 51.4°, intensity 31; 57.7°, intensity 5; 59.5°, intensity 9; 62.7°, intensity 4

---

Record 2
The following is a simulated X-ray diffraction stick pattern of Nd4YHo10. It was derived from a cell relaxed with PBE, using λ = 1.5418 Å (Cu Kα).
Lines closer than 0.1° are merged.

Structure:
```
data_Nd4YHo10
_chemical_formula_sum 'Nd4 Y1 Ho10'
_symmetry_space_group_name_H-M 'P 1'
_symmetry_Int_Tables_number 1
_cell_length_a 9.469
_cell_length_b 9.469
_cell_length_c 9.469
_cell_angle_alpha 99.57
_cell_angle_beta 99.57
_cell_angle_gamma 131.88
loop_
_symmetry_equiv_pos_as_xyz
'x,y,z'
loop_
_atom_site_label
_atom_site_type_symbol
_atom_site_fract_x
_atom_site_fract_y
_atom_site_fract_z
Nd1 Nd 0.101 0.299 0.400
Nd2 Nd 0.299 0.899 0.198
Nd3 Nd 0.701 0.101 0.802
Nd4 Nd 0.899 0.701 0.600
Y1 Y 0.500 0.500 0.000
Ho1 Ho 0.052 0.152 0.702
Ho2 Ho 0.152 0.451 0.101
Ho3 Ho 0.250 0.750 0.500
Ho4 Ho 0.350 0.052 0.899
Ho5 Ho 0.451 0.350 0.298
Ho6 Ho 0.549 0.650 0.702
Ho7 Ho 0.650 0.948 0.101
Ho8 Ho 0.750 0.250 0.500
Ho9 Ho 0.848 0.549 0.899
Ho10 Ho 0.948 0.848 0.298
```

Most intense lines, 5° ≤ 2θ ≤ 70°, by angle:
19.9°, intensity 20; 23.0°, intensity 21; 32.8°, intensity 100; 38.6°, intensity 11; 40.4°, intensity 7; 47.0°, intensity 18; 51.5°, intensity 5; 53.0°, intensity 9; 58.5°, intensity 38; 68.7°, intensity 12

---

Record 3
The following is a simulated X-ray diffraction stick pattern of Gd4Si3S12. It was derived from a cell relaxed with PBE, using λ = 1.5418 Å (Cu Kα).
Lines closer than 0.1° are merged.

Structure:
```
data_Gd4Si3S12
_chemical_formula_sum 'Gd8 Si6 S24'
_symmetry_space_group_name_H-M 'P 1'
_symmetry_Int_Tables_number 1
_cell_length_a 11.323
_cell_length_b 11.323
_cell_length_c 11.323
_cell_angle_alpha 114.88
_cell_angle_beta 114.88
_cell_angle_gamma 114.88
loop_
_symmetry_equiv_pos_as_xyz
'x,y,z'
loop_
_atom_site_label
_atom_site_type_symbol
_atom_site_fract_x
_atom_site_fract_y
_atom_site_fract_z
Gd1 Gd 0.000 0.000 0.000
Gd2 Gd 0.018 0.555 0.777
Gd3 Gd 0.055 0.518 0.277
Gd4 Gd 0.277 0.055 0.518
Gd5 Gd 0.500 0.500 0.500
Gd6 Gd 0.518 0.277 0.055
Gd7 Gd 0.555 0.777 0.018
Gd8 Gd 0.777 0.018 0.555
Si1 Si 0.022 0.850 0.638
Si2 Si 0.138 0.350 0.522
Si3 Si 0.350 0.522 0.138
Si4 Si 0.522 0.138 0.350
Si5 Si 0.638 0.022 0.850
Si6 Si 0.850 0.638 0.022
S1 S 0.103 0.713 0.181
S2 S 0.127 0.314 0.312
S3 S 0.138 0.406 0.869
S4 S 0.181 0.103 0.713
S5 S 0.192 0.903 0.872
S6 S 0.213 0.603 0.681
S7 S 0.312 0.127 0.314
S8 S 0.314 0.312 0.127
S9 S 0.369 0.906 0.638
S10 S 0.372 0.403 0.692
S11 S 0.403 0.692 0.372
S12 S 0.406 0.869 0.138
S13 S 0.603 0.681 0.213
S14 S 0.627 0.812 0.814
S15 S 0.638 0.369 0.906
S16 S 0.681 0.213 0.603
S17 S 0.692 0.372 0.403
S18 S 0.713 0.181 0.103
S19 S 0.812 0.814 0.627
S20 S 0.814 0.627 0.812
S21 S 0.869 0.138 0.406
S22 S 0.872 0.192 0.903
S23 S 0.903 0.872 0.192
S24 S 0.906 0.638 0.369
```

Most intense lines, 5° ≤ 2θ ≤ 70°, by angle:
16.1°, intensity 24; 18.2°, intensity 80; 24.7°, intensity 100; 26.1°, intensity 24; 26.9°, intensity 45; 32.9°, intensity 48; 35.7°, intensity 30; 36.8°, intensity 30; 37.5°, intensity 37; 37.7°, intensity 41